Record 1
Computed PXRD pattern
Compound: KLiZnO2
Radiation: copper Kα
Structure: DFT lattice parameters and positions (PBE)
No peak broadening, texture or thermal motion is included.

Largest 10 diffraction maxima, by angle, 5 to 70 degrees two-theta:
16.42 deg, rel. 513, hkl 2 0 -1; 18.69 deg, rel. 456, hkl 2 0 0; 27.96 deg, rel. 1000, hkl 1 1 0; 32.19 deg, rel. 459, hkl 2 0 -3; 33.30 deg, rel. 549, hkl 4 0 -1; 36.18 deg, rel. 493, hkl 3 1 -1; 38.14 deg, rel. 517, hkl 2 0 2; 40.77 deg, rel. 505, hkl 1 1 2; 43.16 deg, rel. 713, hkl 3 1 -3; 56.65 deg, rel. 292, hkl 5 1 -4

Atomic structure:
```
data_KLiZnO2
_space_group_name_H-M_alt 'C 1 2/m 1'
_space_group_IT_number 12
_space_group_name_Hall '-C 2y'
_cell_length_a 10.973
_cell_length_b 3.388
_cell_length_c 8.343
_cell_angle_alpha 90.00
_cell_angle_beta 120.08
_cell_angle_gamma 90.00
loop_
_atom_site_label
_atom_site_type_symbol
_atom_site_fract_x
_atom_site_fract_y
_atom_site_fract_z
K1 K 0.164 0.000 0.131
Li1 Li 0.158 0.500 0.444
Zn1 Zn 0.044 0.000 0.682
O1 O 0.037 0.500 0.805
O2 O 0.162 0.000 0.563
```

***

Record 2
Computed PXRD pattern
Compound: KLiZn3O4
Radiation: copper Kα
Structure: DFT lattice parameters and positions (PBE)
No peak broadening, texture or thermal motion is included.

Largest 10 diffraction maxima, by angle, 5 to 70 degrees two-theta:
15.04 deg, rel. 443, hkl 0 0 1; 21.47 deg, rel. 358, hkl 2 0 -2; 28.63 deg, rel. 383, hkl 1 1 0; 30.36 deg, rel. 248, hkl 0 0 2; 33.96 deg, rel. 519, hkl 4 0 -1; 34.22 deg, rel. 643, hkl 4 0 -3; 35.94 deg, rel. 1000, hkl 1 1 1; 36.07 deg, rel. 942, hkl 3 1 -2; 53.09 deg, rel. 248, hkl 3 1 -4; 54.59 deg, rel. 239, hkl 0 2 0

Atomic structure:
```
data_KLiZn3O4
_space_group_name_H-M_alt 'C 1 m 1'
_space_group_IT_number 8
_space_group_name_Hall 'C -2y'
_cell_length_a 11.749
_cell_length_b 3.362
_cell_length_c 8.279
_cell_angle_alpha 90.00
_cell_angle_beta 134.63
_cell_angle_gamma 90.00
loop_
_atom_site_label
_atom_site_type_symbol
_atom_site_fract_x
_atom_site_fract_y
_atom_site_fract_z
K1 K 0.000 0.000 0.000
Li1 Li 0.314 0.500 0.188
Zn1 Zn 0.117 0.500 0.439
Zn2 Zn 0.192 0.000 0.839
Zn3 Zn 0.363 0.000 0.536
O1 O 0.089 0.500 0.819
O2 O 0.223 0.000 0.631
O3 O 0.256 0.500 0.363
O4 O 0.391 0.000 0.172
```